Calculated X-ray diffraction stick pattern of Rb3Sn2I2Br5 for Cu Kα, 1.54184 Å, from a cell relaxed with PBE.
No peak broadening, texture or thermal motion is included.

Structure:
```
Rb3Sn2I2Br5
1.0
-2.933 2.933 15.113
2.933 -2.933 15.113
2.933 2.933 -15.113
Rb Sn I Br
3 2 2 5
direct
0.000 0.000 0.000
0.175 0.175 0.000
0.825 0.825 0.000
0.401 0.401 0.000
0.599 0.599 0.000
0.298 0.298 0.000
0.702 0.702 0.000
0.095 0.595 0.500
0.405 0.905 0.500
0.500 0.500 0.000
0.595 0.095 0.500
0.905 0.405 0.500
```

Largest 12 diffraction maxima, low angle first, 15 to 90 degrees two-theta:
| two_theta | Rel. int. |
| --- | --- |
| 15.39 | 27 |
| 21.43 | 45 |
| 25.62 | 26 |
| 27.86 | 45 |
| 29.55 | 38 |
| 30.48 | 100 |
| 30.68 | 28 |
| 42.97 | 54 |
| 43.65 | 37 |
| 43.79 | 21 |
| 52.59 | 18 |
| 53.60 | 28 |


Calculated X-ray diffraction stick pattern of YSi4Os for Cu Kα, 1.54184 Å, from a cell relaxed with PBE.
No peak broadening, texture or thermal motion is included.

Structure:
```
YSi4Os
1.0
0.000 3.606 3.606
3.606 0.000 3.606
3.606 3.606 0.000
Y Si Os
1 4 1
direct
0.000 0.000 0.000
0.128 0.624 0.624
0.624 0.128 0.624
0.624 0.624 0.128
0.624 0.624 0.624
0.250 0.250 0.250
```

Largest 12 diffraction maxima, low angle first, 15 to 90 degrees two-theta:
| two_theta | Rel. int. |
| --- | --- |
| 21.34 | 62 |
| 24.69 | 12 |
| 35.20 | 89 |
| 41.53 | 100 |
| 43.47 | 9 |
| 55.54 | 15 |
| 63.16 | 32 |
| 67.48 | 32 |
| 74.41 | 20 |
| 78.45 | 11 |
| 85.07 | 14 |
| 89.00 | 12 |


Calculated X-ray diffraction stick pattern of Th3Co2Ir7 for Cu Kα, 1.54184 Å, from a cell relaxed with PBE.
No peak broadening, texture or thermal motion is included.

Structure:
```
Th3Co2Ir7
1.0
2.673 1.543 8.613
-2.673 1.543 8.613
0.000 -3.086 8.613
Th Co Ir
3 2 7
direct
0.000 0.000 0.000
0.139 0.139 0.139
0.861 0.861 0.861
0.333 0.333 0.333
0.667 0.667 0.667
0.077 0.579 0.579
0.421 0.421 0.923
0.421 0.923 0.421
0.500 0.500 0.500
0.579 0.077 0.579
0.579 0.579 0.077
0.923 0.421 0.421
```

Largest 12 diffraction maxima, low angle first, 15 to 90 degrees two-theta:
| two_theta | Rel. int. |
| --- | --- |
| 30.98 | 45 |
| 33.53 | 23 |
| 33.84 | 56 |
| 39.07 | 65 |
| 39.56 | 32 |
| 39.69 | 100 |
| 41.96 | 21 |
| 42.81 | 36 |
| 60.15 | 22 |
| 64.11 | 25 |
| 64.58 | 28 |
| 70.46 | 33 |